Starting from a cell relaxed with GGA+U, the PXRD pattern of YNi3C4O12 was simulated for Cu Kα X-rays.

Structural model:
```
YNi3C4O12
1.0
4.777 2.758 2.643
-4.777 2.758 2.643
0.000 -5.516 2.643
Y Ni C O
1 3 4 12
Direct
0.000 0.000 0.000
0.000 0.541 0.459
0.459 0.000 0.541
0.541 0.459 0.000
0.042 0.500 0.958
0.500 0.500 0.500
0.500 0.958 0.042
0.958 0.042 0.500
0.036 0.634 0.818
0.093 0.907 0.500
0.182 0.366 0.964
0.364 0.636 0.500
0.366 0.964 0.182
0.500 0.093 0.907
0.500 0.364 0.636
0.634 0.818 0.036
0.636 0.500 0.364
0.818 0.036 0.634
0.907 0.500 0.093
0.964 0.182 0.366
```

Largest 10 diffraction maxima, by angle, 5 to 70 degrees two-theta:
2θ/deg	d/Å	I/Imax
24.27	3.668	47
30.73	2.909	18
31.25	2.862	100
37.66	2.388	22
45.31	2.001	15
45.68	1.986	19
49.72	1.834	9
51.10	1.787	21
51.58	1.772	25
57.91	1.592	8